No. 1
Structure and computed powder XRD pattern of KNaCdPt (a structure optimized by DFT (GGA-PBE); Cu Kα (λ = 1.5418 Å)).
No peak broadening, texture or thermal motion is included.

Principal peaks in the range 5° ≤ 2θ ≤ 70°, by angle:
2θ/deg  I (rel.)
15.22  100
21.97  28
23.70  32
29.67  29
30.72  21
33.51  32
37.46  59
40.65  54
49.16  23
61.40  13

Atomic structure:
Cell: 8.3142 4.8036 6.4540 Å, 90.00 115.58 90.00°
Fractional coordinates of all 8 atoms:
K (0.0000, 0.0000, 0.0000)
K (0.5000, 0.5000, 0.0000)
Na (0.2022, 0.0000, 0.6044)
Na (0.7022, 0.5000, 0.6044)
Cd (0.4618, 0.0000, 0.3842)
Cd (0.9618, 0.5000, 0.3842)
Pt (0.2987, 0.5000, 0.3943)
Pt (0.7987, 0.0000, 0.3943)

***

No. 2
Structure and computed powder XRD pattern of YHo6Tm12 (a structure optimized by DFT (GGA-PBE); Cu Kα (λ = 1.5418 Å)).
No peak broadening, texture or thermal motion is included.

Principal peaks in the range 5° ≤ 2θ ≤ 70°, by angle:
2θ/deg  I (rel.)
30.97  41
31.90  20
32.35  100
33.35  69
34.00  25
35.48  15
45.82  14
54.26  12
56.63  18
59.25  15

Atomic structure:
Cell: 8.4249 8.4249 8.4249 Å, 88.14 88.14 88.14°
Fractional coordinates of all 19 atoms:
Y (0.0000, 0.0000, 0.0000)
Ho (0.0898, 0.2549, 0.6852)
Ho (0.2549, 0.6852, 0.0898)
Ho (0.3148, 0.9102, 0.7451)
Ho (0.6852, 0.0898, 0.2549)
Ho (0.7451, 0.3148, 0.9102)
Ho (0.9102, 0.7451, 0.3148)
Tm (0.0080, 0.3542, 0.2138)
Tm (0.2138, 0.0080, 0.3542)
Tm (0.2281, 0.5635, 0.4547)
Tm (0.3542, 0.2138, 0.0080)
Tm (0.4365, 0.5453, 0.7719)
Tm (0.4547, 0.2281, 0.5635)
Tm (0.5453, 0.7719, 0.4365)
Tm (0.5635, 0.4547, 0.2281)
Tm (0.6458, 0.7862, 0.9920)
Tm (0.7719, 0.4365, 0.5453)
Tm (0.7862, 0.9920, 0.6458)
Tm (0.9920, 0.6458, 0.7862)

***

No. 3
Structure and computed powder XRD pattern of BaTe4 (a structure optimized by DFT (GGA-PBE); Cu Kα (λ = 1.5418 Å)).
No peak broadening, texture or thermal motion is included.

Principal peaks in the range 5° ≤ 2θ ≤ 70°, by angle:
2θ/deg  I (rel.)
13.18  23
18.68  20
22.93  65
26.54  100
37.89  77
44.75  33
46.85  28
60.04  13
61.76  37
68.43  27

Atomic structure:
Cell: 6.7169 6.7169 6.7169 Å, 90.00 90.00 90.00°
Fractional coordinates of all 5 atoms:
Ba (0.0000, 0.0000, 0.0000)
Te (0.0000, 0.0000, 0.5000)
Te (0.0000, 0.5000, 0.0000)
Te (0.5000, 0.0000, 0.0000)
Te (0.5000, 0.5000, 0.5000)

***

No. 4
Structure and computed powder XRD pattern of Al13Cu3Se24 (a structure optimized by DFT (GGA-PBE); Cu Kα (λ = 1.5418 Å)).
No peak broadening, texture or thermal motion is included.

Principal peaks in the range 5° ≤ 2θ ≤ 70°, by angle:
2θ/deg  I (rel.)
29.17  97
29.55  100
33.95  44
34.07  87
48.46  26
48.83  50
48.91  50
49.45  24
57.79  26
58.45  24

Atomic structure:
Cell: 7.4616 7.4616 18.1183 Å, 90.57 90.57 60.47°
Fractional coordinates of all 40 atoms:
Al (0.0000, 0.0000, 0.0000)
Al (0.0018, 0.4961, 0.8934)
Al (0.0046, 0.0046, 0.3973)
Al (0.1584, 0.6650, 0.5546)
Al (0.3238, 0.3238, 0.7260)
Al (0.3405, 0.3405, 0.3483)
Al (0.3442, 0.8308, 0.2170)
Al (0.4946, 0.4946, 0.8925)
Al (0.4961, 0.0018, 0.8934)
Al (0.6650, 0.1584, 0.5546)
Al (0.6722, 0.6722, 0.6809)
Al (0.8287, 0.8287, 0.2161)
Al (0.8308, 0.3442, 0.2170)
Cu (0.3327, 0.3327, 0.1039)
Cu (0.6574, 0.6574, 0.4320)
Cu (0.9941, 0.9941, 0.7636)
Se (0.0007, 0.0007, 0.1430)
Se (0.0167, 0.4743, 0.6345)
Se (0.1558, 0.6957, 0.3017)
Se (0.1583, 0.1583, 0.3032)
Se (0.1692, 0.1692, 0.8121)
Se (0.1732, 0.6426, 0.8097)
Se (0.3155, 0.8358, 0.4788)
Se (0.3251, 0.3251, 0.4794)
Se (0.3318, 0.3318, 0.9696)
Se (0.3602, 0.8173, 0.9747)
Se (0.4743, 0.0167, 0.6345)
Se (0.4853, 0.4853, 0.6386)
Se (0.5101, 0.5101, 0.1393)
Se (0.5096, 0.9809, 0.1387)
Se (0.6426, 0.1732, 0.8097)
Se (0.6637, 0.6637, 0.8157)
Se (0.6683, 0.6683, 0.2979)
Se (0.6957, 0.1558, 0.3017)
Se (0.8173, 0.3602, 0.9747)
Se (0.8188, 0.8188, 0.9745)
Se (0.8358, 0.3155, 0.4788)
Se (0.8381, 0.8381, 0.4722)
Se (0.9809, 0.5096, 0.1387)
Se (0.9868, 0.9868, 0.6339)

***

No. 5
Structure and computed powder XRD pattern of LiTb2Si3 (a structure optimized by DFT (GGA-PBE); Cu Kα (λ = 1.5418 Å)).
No peak broadening, texture or thermal motion is included.

Principal peaks in the range 5° ≤ 2θ ≤ 70°, by angle:
2θ/deg  I (rel.)
22.35  17
25.14  59
33.89  100
44.17  10
44.35  20
45.62  9
50.22  9
52.80  16
56.85  15
65.52  12

Atomic structure:
Cell: 8.1695 8.1081 5.7125 Å, 70.03 68.88 41.09°
Fractional coordinates of all 12 atoms:
Li (0.1663, 0.1663, 0.8337)
Li (0.8337, 0.8337, 0.1663)
Tb (0.2500, 0.2500, 0.2500)
Tb (0.2572, 0.7428, 0.7428)
Tb (0.7428, 0.2572, 0.2572)
Tb (0.7500, 0.7500, 0.7500)
Si (0.1634, 0.6697, 0.3303)
Si (0.3303, 0.8366, 0.1634)
Si (0.3338, 0.3338, 0.6662)
Si (0.6662, 0.6662, 0.3338)
Si (0.6697, 0.1634, 0.8366)
Si (0.8366, 0.3303, 0.6697)